The following is a theoretical powder diffraction line list of K2Co2F7. It was derived from a PBE+U-relaxed structure, using copper Kα.
Kinematic intensities with the Lorentz-polarization factor, no thermal factor.

Structure:
Cell: 4.0148 27.7854 5.9152 Å, 90.00 90.00 90.00°
Space group Cmc2_1 (No. 36)
One atom of each set of equivalent atoms:
1 K 0.0000 0.0498 0.0000 (multiplicity 4)
2 K 0.0000 0.2103 0.4988 (multiplicity 4)
3 Co 0.0000 0.3464 0.4994 (multiplicity 4)
4 Co 0.0000 0.4457 0.9997 (multiplicity 4)
5 F 0.0000 0.0513 0.4998 (multiplicity 4)
6 F 0.0000 0.1507 0.9996 (multiplicity 4)
7 F 0.0000 0.2982 0.2751 (multiplicity 4)
8 F 0.0000 0.2979 0.7225 (multiplicity 4)
9 F 0.0000 0.3985 0.2687 (multiplicity 4)
10 F 0.0000 0.3981 0.7319 (multiplicity 4)
11 F 0.0000 0.5001 0.2495 (multiplicity 4)

Most intense lines, 10 to 80 degrees two-theta, by angle:
index, Position (°2θ), Rel. int.
0 4 1, 19.71, 52
1 1 0, 22.37, 59
0 6 1, 24.41, 100
1 1 1, 27.03, 38
1 3 1, 28.55, 84
0 8 1, 29.83, 45
0 0 2, 30.22, 49
1 5 1, 31.37, 98
0 10 2, 44.75, 94
2 0 0, 45.16, 83
1 9 2, 48.27, 47
2 10 2, 65.47, 49